Entry 1:
# PbO2
Theoretical X-ray powder pattern, Cu Kα (λ = 1.5418 Å). Input: a cell relaxed with PBE.
Neutral-atom scattering factors, no anomalous dispersion.

Atomic structure:
a = 5.5442 Å, b = 3.7999 Å, c = 7.5867 Å
α = 90.00°, β = 90.00°, γ = 90.00°
Positions (direct):
Pb 0.2329 0.2500 0.0875
Pb 0.2671 0.7500 0.5875
Pb 0.7329 0.2500 0.4125
Pb 0.7671 0.7500 0.9125
O 0.0233 0.7500 0.1339
O 0.1158 0.2500 0.3866
O 0.3842 0.7500 0.8866
O 0.4767 0.2500 0.6339
O 0.5233 0.7500 0.3661
O 0.6158 0.2500 0.1134
O 0.8842 0.7500 0.6134
O 0.9767 0.2500 0.8661

Principal peaks in the range 10° ≤ 2θ ≤ 90°, in order of rising 2θ:
| d_spacing | 2θ (°) | I_rel | (hkl) |
| --- | --- | --- | --- |
| 3.398 | 26.23 | 31 | 0 1 1 |
| 3.131 | 28.51 | 68 | 1 0 2 |
| 2.897 | 30.87 | 100 | 1 1 1 |
| 2.105 | 42.96 | 34 | 0 1 3 |
| 1.677 | 54.75 | 33 | 2 1 3 |
| 1.624 | 56.69 | 44 | 3 1 1 |

***

Entry 2:
# PbO
Theoretical X-ray powder pattern, Cu Kα (λ = 1.5418 Å). Input: a cell relaxed with PBE.
Neutral-atom scattering factors, no anomalous dispersion.

Atomic structure:
a = 3.6401 Å, b = 3.6401 Å, c = 6.6810 Å
α = 90.00°, β = 90.00°, γ = 90.00°
Positions (direct):
Pb 0.0000 0.0000 0.2500
Pb 0.0000 0.0000 0.7500
O 0.0000 0.5000 0.0000
O 0.5000 0.0000 0.5000

Principal peaks in the range 10° ≤ 2θ ≤ 90°, in order of rising 2θ:
| d_spacing | 2θ (°) | I_rel | (hkl) |
| --- | --- | --- | --- |
| 3.640 | 24.45 | 100 | 1 0 0 |
| 3.341 | 26.69 | 34 | 0 0 2 |
| 2.574 | 34.86 | 35 | 1 1 0 |
| 2.461 | 36.51 | 73 | 1 0 2 |
| 2.039 | 44.43 | 49 | 1 1 2 |
| 1.463 | 63.58 | 30 | 2 1 2 |

***

Entry 3:
# PbO
Theoretical X-ray powder pattern, Cu Kα (λ = 1.5418 Å). Input: a cell relaxed with PBE.
Neutral-atom scattering factors, no anomalous dispersion.

Atomic structure:
a = 4.0625 Å, b = 4.0625 Å, c = 5.3023 Å
α = 90.00°, β = 90.00°, γ = 90.00°
Positions (direct):
Pb 0.2500 0.2500 0.2244
Pb 0.7500 0.7500 0.7756
O 0.2500 0.7500 0.0000
O 0.7500 0.2500 0.0000

Principal peaks in the range 10° ≤ 2θ ≤ 90°, in order of rising 2θ:
| d_spacing | 2θ (°) | I_rel | (hkl) |
| --- | --- | --- | --- |
| 3.225 | 27.66 | 100 | 1 0 1 |
| 2.873 | 31.13 | 32 | 1 1 0 |
| 2.651 | 33.81 | 12 | 0 0 2 |
| 2.031 | 44.61 | 17 | 2 0 0 |
| 1.948 | 46.62 | 27 | 1 1 2 |
| 1.719 | 53.30 | 34 | 2 1 1 |

***

Entry 4:
# PbO2
Theoretical X-ray powder pattern, Cu Kα (λ = 1.5418 Å). Input: a cell relaxed with PBE.
Neutral-atom scattering factors, no anomalous dispersion.

Atomic structure:
a = 8.2847 Å, b = 3.5497 Å, c = 5.7450 Å
α = 90.00°, β = 90.00°, γ = 90.00°
Positions (direct):
Pb 0.1661 0.2500 0.1361
Pb 0.3339 0.7500 0.6361
Pb 0.6661 0.2500 0.3639
Pb 0.8339 0.7500 0.8639
O 0.1084 0.7500 0.8875
O 0.1387 0.7500 0.3692
O 0.3613 0.2500 0.8692
O 0.3916 0.2500 0.3875
O 0.6084 0.7500 0.6125
O 0.6387 0.7500 0.1308
O 0.8613 0.2500 0.6308
O 0.8916 0.2500 0.1125

Principal peaks in the range 10° ≤ 2θ ≤ 90°, in order of rising 2θ:
| d_spacing | 2θ (°) | I_rel | (hkl) |
| --- | --- | --- | --- |
| 3.360 | 26.53 | 100 | 2 0 1 |
| 3.020 | 29.58 | 97 | 0 1 1 |
| 2.837 | 31.53 | 96 | 1 1 1 |
| 2.714 | 33.00 | 72 | 1 0 2 |
| 2.695 | 33.24 | 64 | 2 1 0 |
| 1.737 | 52.71 | 91 | 3 1 2 |

***

Entry 5:
# PbO2
Theoretical X-ray powder pattern, Cu Kα (λ = 1.5418 Å). Input: a cell relaxed with PBE.
Neutral-atom scattering factors, no anomalous dispersion.

Atomic structure:
a = 5.0816 Å, b = 5.0816 Å, c = 3.4492 Å
α = 90.00°, β = 90.00°, γ = 90.00°
Positions (direct):
Pb 0.0000 0.0000 0.0000
Pb 0.5000 0.5000 0.5000
O 0.1919 0.1919 0.5000
O 0.3081 0.6919 0.0000
O 0.6919 0.3081 0.0000
O 0.8081 0.8081 0.5000

Principal peaks in the range 10° ≤ 2θ ≤ 90°, in order of rising 2θ:
| d_spacing | 2θ (°) | I_rel | (hkl) |
| --- | --- | --- | --- |
| 3.593 | 24.78 | 100 | 1 1 0 |
| 2.854 | 31.34 | 94 | 1 0 1 |
| 2.541 | 35.33 | 30 | 2 0 0 |
| 1.898 | 47.94 | 73 | 2 1 1 |
| 1.555 | 59.45 | 19 | 1 1 2 |
| 1.520 | 60.93 | 21 | 3 0 1 |

***

Entry 6:
# PdPb2O6
Theoretical X-ray powder pattern, Cu Kα (λ = 1.5418 Å). Input: a cell relaxed with PBE.
Neutral-atom scattering factors, no anomalous dispersion.

Atomic structure:
a = 8.9388 Å, b = 8.9388 Å, c = 5.9429 Å
α = 90.00°, β = 90.00°, γ = 90.00°
Positions (direct):
Pd 0.0000 0.0000 0.0000
Pd 0.0000 0.5000 0.5000
Pd 0.5000 0.0000 0.5000
Pd 0.5000 0.5000 0.0000
Pb 0.1139 0.1139 0.4709
Pb 0.1139 0.3861 0.9709
Pb 0.3861 0.1139 0.9709
Pb 0.3861 0.3861 0.4709
Pb 0.6139 0.6139 0.5291
Pb 0.6139 0.8861 0.0291
Pb 0.8861 0.6139 0.0291
Pb 0.8861 0.8861 0.5291
O 0.0408 0.6824 0.6898
O 0.0408 0.8176 0.1898
O 0.1824 0.5408 0.3102
O 0.1824 0.9592 0.8102
O 0.2500 0.2500 0.2014
O 0.2500 0.2500 0.7014
O 0.2500 0.7500 0.2500
O 0.2500 0.7500 0.7500
O 0.3176 0.5408 0.8102
O 0.3176 0.9592 0.3102
O 0.4592 0.6824 0.1898
O 0.4592 0.8176 0.6898
O 0.5408 0.1824 0.3102
O 0.5408 0.3176 0.8102
O 0.6824 0.0408 0.6898
O 0.6824 0.4592 0.1898
O 0.7500 0.2500 0.2500
O 0.7500 0.2500 0.7500
O 0.7500 0.7500 0.2986
O 0.7500 0.7500 0.7986
O 0.8176 0.0408 0.1898
O 0.8176 0.4592 0.6898
O 0.9592 0.1824 0.8102
O 0.9592 0.3176 0.3102

Principal peaks in the range 10° ≤ 2θ ≤ 90°, in order of rising 2θ:
| d_spacing | 2θ (°) | I_rel | (hkl) |
| --- | --- | --- | --- |
| 6.321 | 14.01 | 53 | 1 1 0 |
| 2.971 | 30.07 | 30 | 0 0 2 |
| 2.825 | 31.67 | 33 | 3 1 0 |
| 2.790 | 32.08 | 100 | 2 2 1 |
| 2.553 | 35.16 | 68 | 3 1 1 |
| 1.681 | 54.58 | 43 | 5 1 1 |